For Li9Mn7O16, a crystal structure in the Materials Project, relaxed with GGA+U gives the theoretical PXRD pattern in this record (Cu Kα X-rays).
Lines closer than 0.1° are merged.

Crystal structure
Cell lengths 10.540, 11.571, 5.853 Å; angles 90.00, 123.09, 90.00 degrees
Space group C2/m (No. 12)
One atom of each set of equivalent atoms:
Li  0.000  0.000  0.000 x2
Li  0.000  0.000  0.500 x2
Li  0.000  0.249  0.000 x4
Li  0.000  0.500  0.000 x2
Li  0.243  0.123  0.496 x8
Mn  0.000  0.248  0.500 x4
Mn  0.000  0.500  0.500 x2
Mn  0.242  0.124  0.992 x8
O  0.009  0.376  0.736 x8
O  0.011  0.132  0.748 x8
O  0.243  0.000  0.224 x4
O  0.245  0.500  0.220 x4
O  0.246  0.250  0.225 x8

The 10 most intense peaks (2θ = 10–90°), low angle first:
hkl, d [Å], 2theta, I (rel.)
2 0 -1, 4.853, 18.28, 100
2 0 1, 2.641, 33.94, 18
0 4 1, 2.491, 36.05, 24
4 0 0, 2.208, 40.88, 36
2 4 -2, 2.057, 44.02, 56
4 4 -1, 1.941, 46.80, 10
4 4 -3, 1.588, 58.07, 10
2 4 2, 1.511, 61.36, 17
6 4 -2, 1.499, 61.89, 17
4 0 -4, 1.463, 63.60, 11